Entry 1:
For TbRe2, DFT lattice parameters and positions (GGA-PBE) gives the computed powder X-ray diffraction pattern in this record (CuKα).
Peak positions follow from Bragg's law for the DFT cell and can differ from measured ones.

Cell and atoms:
```
12
Lattice="5.4482 0.0000 0.0000 -2.7241 4.7183 0.0000 0.0000 0.0000 8.8589" Properties=species:S:1:pos:R:3 pbc="T T T"
Tb 0.0000 3.1455 0.5549
Tb 0.0000 3.1455 3.8745
Tb 2.7241 1.5728 4.9843
Tb 2.7241 1.5728 8.3040
Re 0.0000 0.0000 0.0000
Re 0.0000 0.0000 4.4294
Re 0.0000 1.6172 6.6441
Re -1.3236 3.9097 6.6441
Re 1.4005 0.8086 2.2147
Re 1.3236 3.9097 6.6441
Re 4.0477 0.8086 2.2147
Re 2.7241 3.1011 2.2147
```

The 12 most intense peaks (2θ = 10–90°), most intense first:
38.81 deg, intensity 100.0; 39.53 deg, intensity 92.5; 35.88 deg, intensity 63.9; 65.93 deg, intensity 32.6; 68.94 deg, intensity 29.5; 43.46 deg, intensity 25.5; 62.68 deg, intensity 25.0; 60.66 deg, intensity 23.8; 40.74 deg, intensity 22.7; 32.88 deg, intensity 22.6; 83.28 deg, intensity 17.6; 76.04 deg, intensity 13.4

=====

Entry 2:
For TbThRe4, DFT lattice parameters and positions (GGA-PBE) gives the computed powder X-ray diffraction pattern in this record (CuKα).
Peak positions follow from Bragg's law for the DFT cell and can differ from measured ones.

Cell and atoms:
```
12
Lattice="5.4278 0.0000 0.0000 -2.7139 4.7006 0.0000 0.0000 0.0000 9.1635" Properties=species:S:1:pos:R:3 pbc="T T T"
Tb 0.0000 3.1338 0.5668
Tb 2.7139 1.5669 8.5967
Th 0.0000 3.1338 4.0235
Th 2.7139 1.5669 5.1400
Re 0.0000 0.0000 0.0000
Re 0.0000 0.0000 4.5817
Re 0.0000 1.5991 6.9415
Re -1.3290 3.9011 6.9415
Re 1.3849 0.7996 2.2220
Re 1.3290 3.9011 6.9415
Re 4.0430 0.7996 2.2220
Re 2.7139 3.1015 2.2220
```

The 12 most intense peaks (2θ = 10–90°), most intense first:
38.56 deg, intensity 100.0; 39.59 deg, intensity 82.0; 35.03 deg, intensity 69.2; 64.47 deg, intensity 33.3; 69.24 deg, intensity 27.7; 33.01 deg, intensity 27.0; 60.26 deg, intensity 26.6; 62.66 deg, intensity 24.7; 39.33 deg, intensity 20.9; 43.26 deg, intensity 18.3; 82.65 deg, intensity 15.1; 80.02 deg, intensity 13.1